Record 1
# MoAs2Os
Calculated powder X-ray diffraction pattern, Cu Kα, 1.54184 Å. Input: the GGA-PBE geometry in Alexandria.

Crystal structure
```
MoAs2Os
1.0
-1.5387 2.1130 4.8051
1.5387 -2.1130 4.8051
1.5387 2.1130 -4.8051
Mo As Os
1 2 1
direct
0.0000 0.0000 0.0000 Mo
0.4790 0.4790 0.0000 As
0.7533 0.2533 0.5000 As
0.2650 0.7650 0.5000 Os
```

Largest 10 diffraction maxima, by angle, 5 to 70 degrees two-theta:
| two_theta | Rel. int. |
| --- | --- |
| 18.46 | 106 |
| 22.99 | 162 |
| 30.50 | 64 |
| 37.43 | 295 |
| 40.85 | 1000 |
| 42.80 | 225 |
| 52.99 | 52 |
| 58.14 | 163 |
| 60.14 | 81 |
| 69.84 | 165 |



Record 2
# ReMoAs2
Calculated powder X-ray diffraction pattern, Cu Kα, 1.54184 Å. Input: the GGA-PBE geometry in Alexandria.

Crystal structure
```
ReMoAs2
1.0
4.4108 -1.5812 0.0000
4.4108 1.5812 0.0000
-1.4073 0.0000 4.4348
Re Mo As
1 1 2
direct
0.0000 0.0000 0.0000 Re
0.2494 0.2494 0.6120 Mo
0.5069 0.5069 0.4764 As
0.7401 0.7401 0.1322 As
```

Largest 10 diffraction maxima, by angle, 5 to 70 degrees two-theta:
| two_theta | Rel. int. |
| --- | --- |
| 24.37 | 192 |
| 30.19 | 123 |
| 34.60 | 246 |
| 38.31 | 1000 |
| 39.81 | 295 |
| 40.69 | 245 |
| 43.04 | 486 |
| 43.34 | 736 |
| 58.36 | 171 |
| 68.94 | 171 |



Record 3
# MoAsRu
Calculated powder X-ray diffraction pattern, Cu Kα, 1.54184 Å. Input: the GGA-PBE geometry in Alexandria.

Crystal structure
```
MoAsRu
1.0
4.5190 -1.5523 0.0000
4.5190 1.5523 0.0000
-1.3818 0.0000 6.6920
Mo As Ru
2 2 2
direct
0.0000 0.0000 0.0000 Mo
0.5349 0.5349 0.6791 Mo
0.2674 0.2674 0.7550 As
0.4686 0.4686 0.3021 As
0.1993 0.1993 0.3801 Ru
0.7328 0.7328 0.0643 Ru
```

Largest 10 diffraction maxima, by angle, 5 to 70 degrees two-theta:
| two_theta | Rel. int. |
| --- | --- |
| 32.53 | 481 |
| 34.22 | 281 |
| 40.44 | 442 |
| 40.78 | 424 |
| 41.49 | 365 |
| 42.34 | 1000 |
| 42.44 | 906 |
| 45.71 | 221 |
| 46.95 | 212 |
| 59.56 | 240 |



Please write out number 1 again, unchanged.
# MoAs2Os
Calculated powder X-ray diffraction pattern, Cu Kα, 1.54184 Å. Input: the GGA-PBE geometry in Alexandria.

Crystal structure
```
MoAs2Os
1.0
-1.5387 2.1130 4.8051
1.5387 -2.1130 4.8051
1.5387 2.1130 -4.8051
Mo As Os
1 2 1
direct
0.0000 0.0000 0.0000 Mo
0.4790 0.4790 0.0000 As
0.7533 0.2533 0.5000 As
0.2650 0.7650 0.5000 Os
```

Largest 10 diffraction maxima, by angle, 5 to 70 degrees two-theta:
| two_theta | Rel. int. |
| --- | --- |
| 18.46 | 106 |
| 22.99 | 162 |
| 30.50 | 64 |
| 37.43 | 295 |
| 40.85 | 1000 |
| 42.80 | 225 |
| 52.99 | 52 |
| 58.14 | 163 |
| 60.14 | 81 |
| 69.84 | 165 |